(1)
Structure and computed PXRD pattern of Re2Te3S (a structure optimized by DFT (PBE); copper Kα).
No peak broadening, texture or thermal motion is included.

Cell and atoms:
```
data_Re2Te3S
_cell_length_a 6.947
_cell_length_b 7.135
_cell_length_c 7.254
_cell_angle_alpha 91.91
_cell_angle_beta 103.77
_cell_angle_gamma 118.83
_symmetry_space_group_name_H-M 'P -1'
_symmetry_Int_Tables_number 2
loop_
_symmetry_equiv_pos_as_xyz
'x,y,z'
'-x,-y,-z'
loop_
_atom_site_label
_atom_site_fract_x
_atom_site_fract_y
_atom_site_fract_z
Re1 0.014 0.199 0.005
Re2 0.424 0.175 0.012
Te1 0.223 0.842 0.733
Te2 0.252 0.636 0.192
Te3 0.282 0.396 0.777
S1 0.225 0.101 0.248
```

The 8 most intense peaks (5 to 70 degrees two-theta), sorted by position:
| Position (°2θ) | d (Å) | I (rel.) | index |
| --- | --- | --- | --- |
| 12.8 | 6.938 | 100 | 0 0 1 |
| 33.9 | 2.648 | 23 | 0 2 1 |
| 34.0 | 2.637 | 49 | 2 -2 1 |
| 42.3 | 2.138 | 10 | 2 -2 2 |
| 44.7 | 2.027 | 10 | 0 2 -3 |
| 46.2 | 1.967 | 11 | 2 0 2 |
| 46.3 | 1.959 | 10 | -2 2 3 |
| 52.7 | 1.736 | 12 | 0 0 4 |

***

(2)
Structure and computed PXRD pattern of TlRe3Sb5 (a structure optimized by DFT (PBE); copper Kα).
No peak broadening, texture or thermal motion is included.

Cell and atoms:
```
data_TlRe3Sb5
_cell_length_a 5.5455
_cell_length_b 5.5455
_cell_length_c 8.3794
_cell_angle_alpha 90.00
_cell_angle_beta 90.00
_cell_angle_gamma 120.00
_symmetry_space_group_name_H-M 'P 6/m m m'
_symmetry_Int_Tables_number 191
_symmetry_space_group_name_Hall '-P 6 2'
loop_
_atom_site_label
_atom_site_fract_x
_atom_site_fract_y
_atom_site_fract_z
Tl1 0.0000 0.0000 0.0000
Re1 0.0000 0.5000 0.5000
Sb1 0.0000 0.0000 0.5000
Sb2 0.3333 0.6667 0.2202
```

The 8 most intense peaks (5 to 70 degrees two-theta), sorted by position:
| Position (°2θ) | d (Å) | I (rel.) | index |
| --- | --- | --- | --- |
| 10.6 | 8.379 | 61 | 0 0 1 |
| 21.3 | 4.167 | 24 | 1 0 1 |
| 28.3 | 3.157 | 35 | 1 0 2 |
| 32.3 | 2.773 | 36 | 1 1 0 |
| 37.5 | 2.401 | 25 | 2 0 0 |
| 39.0 | 2.309 | 41 | 2 0 1 |
| 43.2 | 2.095 | 21 | 0 0 4 |
| 43.4 | 2.083 | 100 | 2 0 2 |

***

(3)
Structure and computed PXRD pattern of ZnReSb2 (a structure optimized by DFT (PBE); copper Kα).
No peak broadening, texture or thermal motion is included.

Cell and atoms:
```
data_ZnReSb2
_cell_length_a 6.170
_cell_length_b 6.170
_cell_length_c 11.954
_cell_angle_alpha 90.00
_cell_angle_beta 90.00
_cell_angle_gamma 90.00
_symmetry_space_group_name_H-M 'I -4 2 d'
_symmetry_Int_Tables_number 122
_symmetry_space_group_name_Hall 'I -4 2bw'
loop_
_atom_site_label
_atom_site_fract_x
_atom_site_fract_y
_atom_site_fract_z
Zn1 0.000 0.000 0.000
Re1 0.000 0.000 0.500
Sb1 0.231 0.250 0.625
```

The 8 most intense peaks (5 to 70 degrees two-theta), sorted by position:
| Position (°2θ) | d (Å) | I (rel.) | index |
| --- | --- | --- | --- |
| 16.2 | 5.483 | 20 | 1 0 1 |
| 25.3 | 3.524 | 100 | 1 1 2 |
| 41.4 | 2.182 | 26 | 2 2 0 |
| 42.1 | 2.147 | 51 | 2 0 4 |
| 49.1 | 1.855 | 32 | 3 1 2 |
| 50.3 | 1.812 | 15 | 1 1 6 |
| 60.0 | 1.543 | 9 | 4 0 0 |
| 67.1 | 1.394 | 12 | 3 1 6 |

***

(4)
Structure and computed PXRD pattern of Sc2Re3Si4 (a structure optimized by DFT (PBE); copper Kα).
No peak broadening, texture or thermal motion is included.

Cell and atoms:
```
data_Sc2Re3Si4
_cell_length_a 6.628
_cell_length_b 6.628
_cell_length_c 12.434
_cell_angle_alpha 90.00
_cell_angle_beta 90.00
_cell_angle_gamma 90.00
_symmetry_space_group_name_H-M 'P 41 21 2'
_symmetry_Int_Tables_number 92
loop_
_symmetry_equiv_pos_as_xyz
'x,y,z'
'-y+1/2,x+1/2,z+1/4'
'-x,-y,z+1/2'
'y+1/2,-x+1/2,z+3/4'
'x+1/2,-y+1/2,-z+3/4'
'-y,-x,-z+1/2'
'-x+1/2,y+1/2,-z+1/4'
'y,x,-z'
loop_
_atom_site_label
_atom_site_fract_x
_atom_site_fract_y
_atom_site_fract_z
Sc1 0.006 0.343 0.219
Re1 0.019 0.184 0.618
Re2 0.169 0.169 0.000
Si1 0.028 0.278 0.813
Si2 0.122 0.806 0.931
```

The 8 most intense peaks (5 to 70 degrees two-theta), sorted by position:
| Position (°2θ) | d (Å) | I (rel.) | index |
| --- | --- | --- | --- |
| 20.2 | 4.385 | 52 | 1 1 1 |
| 28.8 | 3.105 | 91 | 1 1 3 |
| 30.6 | 2.924 | 81 | 2 0 2 |
| 34.6 | 2.589 | 49 | 2 0 3 |
| 39.1 | 2.303 | 71 | 2 2 1 |
| 41.1 | 2.196 | 100 | 1 1 5 |
| 43.8 | 2.067 | 62 | 3 1 1 |
| 45.7 | 1.987 | 58 | 2 0 5 |